1.
Diffraction record for TbSnAu. The powder diffractogram is theoretical, not measured: it uses a crystal structure in the Materials Project, relaxed with PBE and Cu Kα.
Lines closer than 0.1° are merged.

Peak list (10 most intense, 2θ from 15° to 90°, low angle first)
| Position (°2θ) | d [Å] | intensity | index |
| --- | --- | --- | --- |
| 24.8 | 3.589 | 29 | 1 0 1 |
| 32.4 | 2.761 | 100 | 1 0 2 |
| 38.1 | 2.361 | 95 | 1 1 0 |
| 42.4 | 2.130 | 33 | 1 0 3 |
| 50.9 | 1.795 | 29 | 2 0 2 |
| 58.3 | 1.582 | 13 | 2 0 3 |
| 65.3 | 1.429 | 27 | 2 1 2 |
| 66.5 | 1.406 | 13 | 1 0 5 |
| 68.9 | 1.363 | 17 | 3 0 0 |
| 71.8 | 1.314 | 14 | 2 1 3 |

```
data_TbSnAu
_chemical_formula_sum 'Tb2 Sn2 Au2'
_cell_length_a 4.722
_cell_length_b 4.722
_cell_length_c 7.485
_cell_angle_alpha 90.00
_cell_angle_beta 90.00
_cell_angle_gamma 120.00
_space_group_name_H-M_alt 'P 1'
_space_group_IT_number 1
_space_group_name_Hall 'P 1'
loop_
_atom_site_label
_atom_site_type_symbol
_atom_site_fract_x
_atom_site_fract_y
_atom_site_fract_z
Tb1 Tb 0.000 0.000 0.000
Tb2 Tb 0.000 0.000 0.500
Sn1 Sn 0.333 0.667 0.274
Sn2 Sn 0.667 0.333 0.774
Au1 Au 0.333 0.667 0.673
Au2 Au 0.667 0.333 0.173
```

=====

2.
Diffraction record for Sr4SnN4. The powder diffractogram is theoretical, not measured: it uses a crystal structure in the Materials Project, relaxed with PBE and Cu Kα.
Lines closer than 0.1° are merged.

Peak list (10 most intense, 2θ from 15° to 90°, low angle first)
| Position (°2θ) | d [Å] | intensity | index |
| --- | --- | --- | --- |
| 24.8 | 3.594 | 24 | 2 0 4 |
| 26.9 | 3.320 | 21 | 1 0 5 |
| 27.7 | 3.216 | 36 | 4 0 1 |
| 28.9 | 3.089 | 100 | 2 1 2 |
| 29.2 | 3.060 | 22 | 3 0 4 |
| 29.4 | 3.041 | 42 | 2 0 5 |
| 31.2 | 2.865 | 50 | 2 1 3 |
| 34.9 | 2.574 | 21 | 3 1 3 |
| 43.8 | 2.066 | 21 | 0 1 7 |
| 47.4 | 1.919 | 21 | 0 2 0 |

```
data_Sr4SnN4
_chemical_formula_sum 'Sr16 Sn4 N16'
_cell_length_a 13.097
_cell_length_b 3.837
_cell_length_c 17.166
_cell_angle_alpha 90.00
_cell_angle_beta 90.00
_cell_angle_gamma 90.00
_space_group_name_H-M_alt 'P 1'
_space_group_IT_number 1
_space_group_name_Hall 'P 1'
loop_
_atom_site_label
_atom_site_type_symbol
_atom_site_fract_x
_atom_site_fract_y
_atom_site_fract_z
Sr1 Sr 0.049 0.250 0.097
Sr2 Sr 0.084 0.750 0.334
Sr3 Sr 0.125 0.250 0.533
Sr4 Sr 0.173 0.750 0.746
Sr5 Sr 0.327 0.250 0.246
Sr6 Sr 0.375 0.750 0.033
Sr7 Sr 0.416 0.250 0.834
Sr8 Sr 0.451 0.750 0.597
Sr9 Sr 0.549 0.250 0.403
Sr10 Sr 0.584 0.750 0.166
Sr11 Sr 0.625 0.250 0.967
Sr12 Sr 0.673 0.750 0.754
Sr13 Sr 0.827 0.250 0.254
Sr14 Sr 0.875 0.750 0.467
Sr15 Sr 0.916 0.250 0.666
Sr16 Sr 0.951 0.750 0.903
Sn1 Sn 0.183 0.250 0.925
Sn2 Sn 0.317 0.750 0.425
Sn3 Sn 0.683 0.250 0.575
Sn4 Sn 0.817 0.750 0.075
N1 N 0.008 0.250 0.422
N2 N 0.055 0.750 0.638
N3 N 0.116 0.750 0.180
N4 N 0.207 0.750 0.205
N5 N 0.293 0.250 0.705
N6 N 0.384 0.250 0.680
N7 N 0.445 0.250 0.138
N8 N 0.492 0.750 0.922
N9 N 0.508 0.250 0.078
N10 N 0.555 0.750 0.862
N11 N 0.616 0.750 0.320
N12 N 0.707 0.750 0.295
N13 N 0.793 0.250 0.795
N14 N 0.884 0.250 0.820
N15 N 0.945 0.250 0.362
N16 N 0.992 0.750 0.578
```

=====

3.
Diffraction record for Ca2Al2SiO7. The powder diffractogram is theoretical, not measured: it uses a crystal structure in the Materials Project, relaxed with PBE and Cu Kα.
Lines closer than 0.1° are merged.

Peak list (10 most intense, 2θ from 15° to 90°, low angle first)
| Position (°2θ) | d [Å] | intensity | index |
| --- | --- | --- | --- |
| 23.8 | 3.740 | 19 | 1 1 -1 |
| 28.9 | 3.091 | 20 | 1 0 -2 |
| 31.1 | 2.872 | 100 | 1 2 1 |
| 37.1 | 2.423 | 12 | 2 0 -1 |
| 38.9 | 2.314 | 9 | 1 0 -3 |
| 44.0 | 2.057 | 11 | 2 1 2 |
| 49.8 | 1.832 | 10 | 0 3 3 |
| 51.6 | 1.771 | 17 | 2 1 -3 |
| 51.7 | 1.769 | 14 | 2 3 1 |
| 60.6 | 1.528 | 11 | 3 1 2 |

```
data_Ca2Al2SiO7
_chemical_formula_sum 'Ca4 Al4 Si2 O14'
_cell_length_a 5.103
_cell_length_b 7.758
_cell_length_c 7.785
_cell_angle_alpha 90.00
_cell_angle_beta 90.07
_cell_angle_gamma 90.00
_space_group_name_H-M_alt 'P 1'
_space_group_IT_number 1
_space_group_name_Hall 'P 1'
loop_
_atom_site_label
_atom_site_type_symbol
_atom_site_fract_x
_atom_site_fract_y
_atom_site_fract_z
Ca1 Ca 0.015 0.000 0.396
Ca2 Ca 0.016 0.677 0.075
Ca3 Ca 0.984 0.177 0.925
Ca4 Ca 0.985 0.500 0.604
Al1 Al 0.460 0.478 0.893
Al2 Al 0.500 0.336 0.251
Al3 Al 0.500 0.836 0.749
Al4 Al 0.540 0.978 0.107
Si1 Si 0.452 0.191 0.606
Si2 Si 0.548 0.691 0.394
O1 O 0.201 0.976 0.114
O2 O 0.231 0.693 0.397
O3 O 0.299 0.671 0.831
O4 O 0.302 0.423 0.088
O5 O 0.310 0.245 0.421
O6 O 0.313 0.004 0.653
O7 O 0.321 0.326 0.746
O8 O 0.679 0.826 0.254
O9 O 0.687 0.504 0.347
O10 O 0.690 0.745 0.579
O11 O 0.698 0.923 0.912
O12 O 0.701 0.171 0.169
O13 O 0.769 0.193 0.603
O14 O 0.799 0.476 0.886
```

=====

4.
Diffraction record for CaTiP2O7. The powder diffractogram is theoretical, not measured: it uses a crystal structure in the Materials Project, relaxed with PBE and Cu Kα.
Lines closer than 0.1° are merged.

Peak list (10 most intense, 2θ from 15° to 90°, low angle first)
| Position (°2θ) | d [Å] | intensity | index |
| --- | --- | --- | --- |
| 27.6 | 3.238 | 58 | 2 1 -2 |
| 27.9 | 3.202 | 100 | 1 2 -2 |
| 29.8 | 2.997 | 72 | 1 0 2 |
| 33.2 | 2.700 | 15 | 1 3 0 |
| 33.8 | 2.655 | 29 | 2 2 0 |
| 40.0 | 2.253 | 26 | 2 3 -2 |
| 47.8 | 1.904 | 16 | 0 2 4 |
| 52.6 | 1.739 | 11 | 4 0 -4 |
| 54.3 | 1.689 | 18 | 3 3 -4 |
| 67.4 | 1.390 | 14 | 2 3 -6 |

```
data_CaTiP2O7
_chemical_formula_sum 'Ca4 Ti4 P8 O28'
_cell_length_a 7.427
_cell_length_b 8.871
_cell_length_c 9.451
_cell_angle_alpha 90.00
_cell_angle_beta 116.84
_cell_angle_gamma 90.00
_space_group_name_H-M_alt 'P 1'
_space_group_IT_number 1
_space_group_name_Hall 'P 1'
loop_
_atom_site_label
_atom_site_type_symbol
_atom_site_fract_x
_atom_site_fract_y
_atom_site_fract_z
Ca1 Ca 0.216 0.054 0.358
Ca2 Ca 0.216 0.446 0.858
Ca3 Ca 0.784 0.554 0.142
Ca4 Ca 0.784 0.946 0.642
Ti1 Ti 0.286 0.069 0.897
Ti2 Ti 0.286 0.431 0.397
Ti3 Ti 0.714 0.569 0.603
Ti4 Ti 0.714 0.931 0.103
P1 P 0.029 0.742 0.963
P2 P 0.029 0.758 0.463
P3 P 0.443 0.730 0.253
P4 P 0.443 0.770 0.753
P5 P 0.557 0.230 0.247
P6 P 0.557 0.270 0.747
P7 P 0.971 0.242 0.537
P8 P 0.971 0.258 0.037
O1 O 0.035 0.109 0.656
O2 O 0.035 0.391 0.156
O3 O 0.067 0.612 0.395
O4 O 0.067 0.888 0.895
O5 O 0.112 0.239 0.960
O6 O 0.112 0.261 0.460
O7 O 0.239 0.676 0.099
O8 O 0.239 0.824 0.599
O9 O 0.402 0.243 0.312
O10 O 0.402 0.257 0.812
O11 O 0.409 0.628 0.825
O12 O 0.409 0.872 0.325
O13 O 0.486 0.591 0.363
O14 O 0.486 0.909 0.863
O15 O 0.514 0.091 0.137
O16 O 0.514 0.409 0.637
O17 O 0.591 0.128 0.675
O18 O 0.591 0.372 0.175
O19 O 0.598 0.743 0.188
O20 O 0.598 0.757 0.688
O21 O 0.761 0.176 0.401
O22 O 0.761 0.324 0.901
O23 O 0.888 0.739 0.540
O24 O 0.888 0.761 0.040
O25 O 0.933 0.112 0.105
O26 O 0.933 0.388 0.605
O27 O 0.965 0.609 0.844
O28 O 0.965 0.891 0.344
```